Record 1
CdPH6NO5: computed PXRD pattern (a wavelength of 1.5418 Å), based on DFT lattice parameters and positions (PBE).

Cell and atoms:
```
CdPH6NO5
1.0
18.3169 0.0000 0.0000
0.0000 5.8799 0.0000
0.0000 0.0000 4.9949
Cd P H N O
4 4 24 4 20
Direct
0.2347 0.2500 0.1401 Cd
0.2653 0.7500 0.6401 Cd
0.7347 0.2500 0.3599 Cd
0.7653 0.7500 0.8599 Cd
0.1464 0.7500 0.2164 P
0.3536 0.2500 0.7164 P
0.6464 0.7500 0.2836 P
0.8536 0.2500 0.7836 P
0.0227 0.7500 0.5583 H
0.0239 0.7500 0.9091 H
0.0409 0.1050 0.2594 H
0.0409 0.3950 0.2594 H
0.1501 0.1169 0.6826 H
0.1501 0.3831 0.6826 H
0.3499 0.6169 0.1826 H
0.3499 0.8831 0.1826 H
0.4591 0.6050 0.7594 H
0.4591 0.8950 0.7594 H
0.4761 0.2500 0.4091 H
0.4773 0.2500 0.0583 H
0.5227 0.7500 0.9417 H
0.5239 0.7500 0.5909 H
0.5409 0.1050 0.2406 H
0.5409 0.3950 0.2406 H
0.6501 0.1169 0.8174 H
0.6501 0.3831 0.8174 H
0.8499 0.6169 0.3174 H
0.8499 0.8831 0.3174 H
0.9591 0.6050 0.7406 H
0.9591 0.8950 0.7406 H
0.9761 0.2500 0.0909 H
0.9773 0.2500 0.4417 H
0.0089 0.2500 0.2635 N
0.4911 0.7500 0.7635 N
0.5089 0.2500 0.2365 N
0.9911 0.7500 0.7365 N
0.0618 0.7500 0.2466 O
0.1433 0.2500 0.8017 O
0.1672 0.7500 0.9200 O
0.1795 0.5372 0.3673 O
0.1795 0.9628 0.3673 O
0.3205 0.0372 0.8673 O
0.3205 0.4628 0.8673 O
0.3328 0.2500 0.4200 O
0.3567 0.7500 0.3017 O
0.4382 0.2500 0.7466 O
0.5618 0.7500 0.2534 O
0.6433 0.2500 0.6983 O
0.6672 0.7500 0.5800 O
0.6795 0.5372 0.1327 O
0.6795 0.9628 0.1327 O
0.8205 0.0372 0.6327 O
0.8205 0.4628 0.6327 O
0.8328 0.2500 0.0800 O
0.8567 0.7500 0.1983 O
0.9382 0.2500 0.7534 O
```

Largest 10 diffraction maxima, in order of falling intensity, 15° ≤ 2θ ≤ 90°:
hkl, 2θ (°), I (rel.)
4 1 1, 30.54, 100
0 2 0, 30.40, 45
2 1 1, 25.34, 41
1 1 1, 23.87, 38
3 1 1, 27.61, 36
2 0 1, 20.25, 24
1 2 2, 48.06, 24
5 1 1, 33.96, 23
4 2 0, 36.31, 19
7 0 2, 50.52, 19

Record 2
CdH10S2N4O8: computed PXRD pattern (a wavelength of 1.5418 Å), based on DFT lattice parameters and positions (PBE).

Cell and atoms:
```
CdH10S2N4O8
1.0
5.5899 0.0000 0.0000
-0.9985 5.9146 0.0000
-1.7665 -0.5484 7.2553
Cd H S N O
1 10 2 4 8
Direct
0.0000 0.0000 0.0000 Cd
0.0780 0.2912 0.7181 H
0.1360 0.9239 0.3906 H
0.2291 0.5663 0.1710 H
0.2938 0.5981 0.4075 H
0.4436 0.7893 0.2872 H
0.5564 0.2107 0.7128 H
0.7062 0.4019 0.5925 H
0.7709 0.4337 0.8290 H
0.8640 0.0761 0.6094 H
0.9220 0.7088 0.2819 H
0.3547 0.7382 0.7767 S
0.6453 0.2618 0.2233 S
0.0819 0.8181 0.2721 N
0.2748 0.6808 0.2850 N
0.7252 0.3192 0.7150 N
0.9181 0.1819 0.7279 N
0.1563 0.7029 0.8836 O
0.3095 0.5356 0.6435 O
0.3354 0.9467 0.6741 O
0.3942 0.2431 0.0938 O
0.6058 0.7569 0.9062 O
0.6646 0.0533 0.3259 O
0.6905 0.4644 0.3565 O
0.8437 0.2971 0.1164 O
```

Largest 10 diffraction maxima, in order of falling intensity, 15° ≤ 2θ ≤ 90°:
hkl, 2θ (°), I (rel.)
0 1 -1, 18.66, 100
1 1 0, 24.40, 100
-1 1 2, 29.66, 77
-1 1 1, 22.18, 75
1 0 1, 22.96, 62
0 1 -2, 27.89, 49
0 1 0, 15.02, 47
1 2 -2, 41.36, 43
1 -1 2, 34.31, 42
2 0 -1, 32.76, 37